Ti5Pb5O14: theoretical powder diffractogram (Cu Kα X-rays), based on a DFT-relaxed cell (PBE, Alexandria).
Intensities are scaled so that the largest is 100.

Principal peaks in the range 15° ≤ 2θ ≤ 90°, sorted by position:
two_theta	Rel. int.	index
18.26	64	1 1 0
29.27	56	0 2 -1
29.32	56	2 0 1
30.05	100	1 0 -2
33.02	75	1 0 3
37.99	60	0 1 -3

Structural model:
```
data_Ti5Pb5O14
_cell_length_a 6.2346
_cell_length_b 7.2832
_cell_length_c 8.4847
_cell_angle_alpha 78.00
_cell_angle_beta 73.20
_cell_angle_gamma 79.54
_symmetry_space_group_name_H-M 'P 1'
_symmetry_Int_Tables_number 1
_symmetry_space_group_name_Hall 'P 1'
loop_
_atom_site_label
_atom_site_type_symbol
_atom_site_fract_x
_atom_site_fract_y
_atom_site_fract_z
_atom_site_occupancy
Ti1 Ti 0.0000 0.0000 0.0000 1
Ti2 Ti 0.1733 0.8313 0.5859 1
Ti3 Ti 0.3860 0.6137 0.1950 1
Ti4 Ti 0.5615 0.4400 0.7823 1
Ti5 Ti 0.7826 0.2197 0.3898 1
Pb1 Pb 0.1236 0.3053 0.6252 1
Pb2 Pb 0.3550 0.1040 0.2066 1
Pb3 Pb 0.5544 0.9045 0.8029 1
Pb4 Pb 0.7482 0.6963 0.3946 1
Pb5 Pb 0.9468 0.4762 0.9846 1
O1 O 0.0438 0.0675 0.4667 1
O2 O 0.1406 0.9774 0.7680 1
O3 O 0.1671 0.4750 0.2660 1
O4 O 0.2527 0.8552 0.0699 1
O5 O 0.3535 0.7711 0.3660 1
O6 O 0.3831 0.2628 0.8689 1
O7 O 0.4296 0.6688 0.6708 1
O8 O 0.5582 0.5603 0.9666 1
O9 O 0.5743 0.0689 0.4601 1
O10 O 0.6426 0.4572 0.2727 1
O11 O 0.7502 0.3664 0.5727 1
O12 O 0.7554 0.8869 0.0612 1
O13 O 0.9509 0.1673 0.1621 1
O14 O 0.9508 0.6940 0.6542 1
```